Simulated powder diffractogram of TaNbCuMo for λ = 1.5418 Å (Cu Kα), from a PBE-relaxed structure.

Structure:
Unit cell a=4.5229 b=4.5229 c=4.5229 alpha=60.00 beta=60.00 gamma=60.00
Fractional coordinates of all 4 atoms:
Ta 0.0000 0.0000 0.0000
Nb 0.5000 0.5000 0.5000
Cu 0.2500 0.2500 0.2500
Mo 0.7500 0.7500 0.7500

Largest 10 diffraction maxima, sorted by position, 10° ≤ 2θ ≤ 90°:
d 3.693, intensity 9.4
d 3.198, intensity 7.4
d 2.261, intensity 100.0
d 1.929, intensity 5.1
d 1.846, intensity 2.2
d 1.599, intensity 16.6
d 1.467, intensity 2.2
d 1.430, intensity 3.1
d 1.306, intensity 33.3
d 1.131, intensity 10.7